This entry pairs a crystal structure of SrCuSiNi with its simulated powder diffraction line list. Radiation: Cu Ka. Structure: a PBE-relaxed structure.

Most intense lines, 5° ≤ 2θ ≤ 70°, sorted by position:
16.87 deg, rel. 21, hkl 0 0 2
25.24 deg, rel. 39, hkl 1 0 0
26.65 deg, rel. 26, hkl 1 0 1
34.12 deg, rel. 36, hkl 0 0 4
36.13 deg, rel. 100, hkl 1 0 3
42.92 deg, rel. 10, hkl 1 0 4
44.48 deg, rel. 78, hkl 1 1 0
57.23 deg, rel. 46, hkl 1 1 4
58.59 deg, rel. 23, hkl 2 0 3
67.84 deg, rel. 24, hkl 1 0 7

Cell and atoms:
abc: 4.0737 4.0737 10.5097
angles: 90.00 90.00 120.00
Space group P-6m2 (No. 187)
Symmetry-distinct sites (fractional):
Sr 0.0000 0.0000 0.0000
Sr 0.3333 0.6667 0.5000
Cu 0.0000 0.0000 0.2895
Si 0.6667 0.3333 0.2407
Ni 0.3333 0.6667 0.2190